[1]
The following is a computed powder diffractogram of MgNi4O9. It was derived from the PBE+U geometry in the Materials Project, using λ = 1.5418 Å (Cu Kα).

Atomic structure:
a b c (Å): 5.3515 8.1389 8.3008
angles (deg): 92.19 90.26 90.11
Space group P1 (No. 1)
Asymmetric unit:
1 Mg 0.0000 0.0000 0.0000
2 Mg 0.4714 0.5031 0.4987
3 Ni 0.6397 0.2777 0.9241
4 Ni 0.6466 0.9122 0.7268
5 Ni 0.6847 0.7157 0.1036
6 Ni 0.7007 0.0823 0.2944
7 Ni 0.7808 0.2163 0.6014
8 Ni 0.7813 0.5830 0.7924
9 Ni 0.8194 0.4094 0.2298
10 Ni 0.8351 0.7764 0.4253
11 O 0.1062 0.3563 0.5996
12 O 0.1105 0.4996 0.6812
13 O 0.1337 0.4798 0.3576
14 O 0.1405 0.6306 0.4331
15 O 0.3300 0.1355 0.9252
16 O 0.3308 0.9872 0.8446
17 O 0.3588 0.8548 0.1126
18 O 0.3661 0.0001 0.1897
19 O 0.6125 0.3937 0.7125
20 O 0.6482 0.2885 0.4016
21 O 0.6491 0.6081 0.3009
22 O 0.6566 0.6958 0.6143
23 O 0.7302 0.9997 0.5029
24 O 0.7553 0.5004 0.0072
25 O 0.8055 0.7942 0.9056
26 O 0.8161 0.1925 0.1172
27 O 0.8236 0.1098 0.7998
28 O 0.8606 0.8949 0.2150

Principal peaks in the range 5 to 70 degrees two-theta, sorted by position:
- 2θ 16.57, intensity 1000, hkl 1 0 0
- 2θ 29.06, intensity 159, hkl 1 -1 2
- 2θ 33.49, intensity 97, hkl 2 0 0
- 2θ 34.41, intensity 77, hkl 0 3 -1
- 2θ 34.66, intensity 96, hkl 0 1 3
- 2θ 38.42, intensity 92, hkl 1 3 -1
- 2θ 42.00, intensity 66, hkl -2 2 1
- 2θ 48.51, intensity 89, hkl 0 2 -4
- 2θ 51.56, intensity 68, hkl 1 2 -4
- 2θ 53.69, intensity 68, hkl -1 4 2

[2]
The following is a computed powder diffractogram of MgNi2O4. It was derived from the PBE+U geometry in the Materials Project, using λ = 1.5418 Å (Cu Kα).

Atomic structure:
a b c (Å): 5.8760 5.8760 14.3640
angles (deg): 90.00 90.00 120.00
Space group R3m (No. 160, hexagonal axes)
Asymmetric unit:
1 Mg 0.0000 0.0000 0.0000
2 Mg 0.0000 0.0000 0.3834
3 Ni 0.0000 0.0000 0.6181
4 Ni 0.1708 0.3416 0.8335
5 O 0.0000 0.0000 0.2483
6 O 0.0000 0.0000 0.7451
7 O 0.0334 0.5167 0.7606
8 O 0.1773 0.3546 0.5727

Principal peaks in the range 5 to 70 degrees two-theta, sorted by position:
- 2θ 18.52, intensity 345, hkl 0 0 3
- 2θ 21.40, intensity 110, hkl 0 1 2
- 2θ 30.46, intensity 256, hkl 1 0 4
- 2θ 35.86, intensity 1000, hkl 0 2 1
- 2θ 37.51, intensity 102, hkl 2 0 2
- 2θ 43.60, intensity 287, hkl 0 2 4
- 2θ 54.09, intensity 76, hkl 2 1 4
- 2θ 57.68, intensity 333, hkl 0 2 7
- 2θ 63.36, intensity 458, hkl 2 2 0
- 2θ 66.60, intensity 59, hkl 2 2 3

[3]
The following is a computed powder diffractogram of MgNi2O4. It was derived from the PBE+U geometry in the Materials Project, using λ = 1.5418 Å (Cu Kα).

Atomic structure:
a b c (Å): 5.8888 5.8888 14.4297
angles (deg): 90.00 90.00 120.00
Space group P3m1 (No. 156)
Asymmetric unit:
1 Mg 0.0000 0.0000 0.0000
2 Mg 0.0000 0.0000 0.2390
3 Mg 0.3333 0.6667 0.5761
4 Mg 0.6667 0.3333 0.2846
5 Mg 0.6667 0.3333 0.6592
6 Mg 0.6667 0.3333 0.9065
7 Ni 0.0000 0.0000 0.6201
8 Ni 0.1669 0.3339 0.7860
9 Ni 0.3285 0.1643 0.4525
10 Ni 0.3333 0.6667 0.3309
11 Ni 0.3333 0.6667 0.9532
12 Ni 0.5013 0.0027 0.1194
13 O 0.0000 0.0000 0.3788
14 O 0.0000 0.0000 0.8604
15 O 0.0268 0.5134 0.8617
16 O 0.1503 0.3006 0.5346
17 O 0.1845 0.3690 0.0471
18 O 0.2946 0.1473 0.7055
19 O 0.3333 0.6667 0.2020
20 O 0.3333 0.6667 0.7136
21 O 0.3635 0.1817 0.1907
22 O 0.5058 0.0115 0.3739
23 O 0.6667 0.3333 0.0416
24 O 0.6667 0.3333 0.5216

Principal peaks in the range 5 to 70 degrees two-theta, sorted by position:
- 2θ 18.45, intensity 608, hkl 0 0 3
- 2θ 30.35, intensity 137, hkl 0 1 4
- 2θ 35.76, intensity 1000, hkl 2 0 1
- 2θ 37.40, intensity 164, hkl 0 2 2
- 2θ 43.46, intensity 469, hkl 2 0 4
- 2θ 47.59, intensity 60, hkl 0 2 5
- 2θ 53.93, intensity 46, hkl 1 2 4
- 2θ 57.49, intensity 381, hkl 2 0 7
- 2θ 63.15, intensity 523, hkl 2 2 0
- 2θ 66.40, intensity 87, hkl 2 2 3

[4]
The following is a computed powder diffractogram of Mg3Ni2O7. It was derived from the PBE+U geometry in the Materials Project, using λ = 1.5418 Å (Cu Kα).

Atomic structure:
a b c (Å): 17.5152 4.9673 5.1973
angles (deg): 90.00 90.00 90.00
Space group Cmc2_1 (No. 36)
Asymmetric unit:
1 Mg 0.0000 0.2234 0.0000
2 Mg 0.1921 0.2423 0.1530
3 Ni 0.1023 0.2532 0.5740
4 O 0.0000 0.3879 0.6355
5 O 0.0751 0.0611 0.2669
6 O 0.1361 0.4493 0.8648
7 O 0.2028 0.1374 0.5317

Principal peaks in the range 5 to 70 degrees two-theta, sorted by position:
- 2θ 20.28, intensity 364, hkl 4 0 0
- 2θ 25.32, intensity 603, hkl 1 1 1
- 2θ 29.20, intensity 161, hkl 3 1 1
- 2θ 34.51, intensity 289, hkl 0 0 2
- 2θ 35.81, intensity 1000, hkl 5 1 1
- 2θ 36.17, intensity 241, hkl 0 2 0
- 2θ 50.85, intensity 313, hkl 0 2 2
- 2θ 52.23, intensity 161, hkl 10 0 0
- 2θ 53.56, intensity 166, hkl 9 1 1
- 2θ 64.81, intensity 326, hkl 5 3 1

[5]
The following is a computed powder diffractogram of MgNi2O4. It was derived from the PBE+U geometry in the Materials Project, using λ = 1.5418 Å (Cu Kα).

Atomic structure:
a b c (Å): 5.8243 5.8297 5.8303
angles (deg): 91.87 118.95 118.90
Space group P-1 (No. 2)
Asymmetric unit:
1 Mg 0.2488 0.3743 0.1245
2 Ni 0.0000 0.0000 0.5000
3 Ni 0.0000 0.5000 0.5000
4 Ni 0.5000 0.0000 0.0000
5 Ni 0.5000 0.0000 0.5000
6 O 0.0056 0.2617 0.7131
7 O 0.0486 0.7552 0.7612
8 O 0.4510 0.2141 0.7063
9 O 0.4918 0.2054 0.2544

Principal peaks in the range 5 to 70 degrees two-theta, sorted by position:
- 2θ 18.55, intensity 1000, hkl 0 1 0
- 2θ 35.66, intensity 866, hkl 1 1 0
- 2θ 36.54, intensity 356, hkl -2 2 1
- 2θ 37.62, intensity 259, hkl 0 0 2
- 2θ 43.21, intensity 466, hkl 2 0 0
- 2θ 44.70, intensity 211, hkl -2 2 2
- 2θ 57.23, intensity 274, hkl 0 2 -3
- 2θ 59.05, intensity 132, hkl -3 2 3
- 2θ 62.76, intensity 218, hkl 2 2 -2
- 2θ 63.92, intensity 415, hkl 0 2 2

[6]
The following is a computed powder diffractogram of MgNi2O4. It was derived from the PBE+U geometry in the Materials Project, using λ = 1.5418 Å (Cu Kα).

Atomic structure:
a b c (Å): 5.7478 10.0785 4.9157
angles (deg): 90.00 90.00 90.00
Space group Pmmn (No. 59, origin choice 2)
Asymmetric unit:
1 Mg 0.2500 0.2500 0.0013
2 Mg 0.2500 0.7500 0.6646
3 Ni 0.0000 0.0000 0.5000
4 Ni 0.2500 0.5113 0.0131
5 O 0.9999 0.1141 0.1767
6 O 0.2500 0.1005 0.7097
7 O 0.2500 0.6007 0.3579

Principal peaks in the range 5 to 70 degrees two-theta, sorted by position:
- 2θ 17.60, intensity 1000, hkl 0 2 0
- 2θ 35.63, intensity 105, hkl 0 4 0
- 2θ 36.21, intensity 258, hkl 2 0 1
- 2θ 36.56, intensity 106, hkl 0 0 2
- 2θ 40.53, intensity 444, hkl 2 2 1
- 2θ 40.85, intensity 209, hkl 0 2 2
- 2θ 51.71, intensity 376, hkl 2 4 1
- 2θ 51.98, intensity 206, hkl 0 4 2
- 2θ 65.58, intensity 143, hkl 2 0 3
- 2θ 67.32, intensity 112, hkl 2 6 1

[7]
The following is a computed powder diffractogram of MgNi2O4. It was derived from the PBE+U geometry in the Materials Project, using λ = 1.5418 Å (Cu Kα).

Atomic structure:
a b c (Å): 2.9398 7.2410 7.2610
angles (deg): 78.54 79.05 79.86
Space group P1 (No. 1)
Asymmetric unit:
1 Mg 0.0000 0.0000 0.0000
2 Mg 0.3475 0.6802 0.6193
3 Ni 0.0325 0.6545 0.2651
4 Ni 0.3146 0.0254 0.3538
5 Ni 0.5400 0.3154 0.6273
6 Ni 0.8059 0.3653 0.9908
7 O 0.1487 0.1630 0.5651
8 O 0.1965 0.5190 0.0509
9 O 0.4741 0.1864 0.8881
10 O 0.5008 0.8396 0.1433
11 O 0.5316 0.5155 0.4061
12 O 0.8151 0.1650 0.2128
13 O 0.8444 0.8419 0.4780
14 O 0.8759 0.4922 0.7294

Principal peaks in the range 5 to 70 degrees two-theta, sorted by position:
- 2θ 12.60, intensity 1000, hkl 0 0 1
- 2θ 16.25, intensity 744, hkl 0 1 1
- 2θ 19.34, intensity 700, hkl 0 1 -1
- 2θ 30.34, intensity 755, hkl 0 2 -1
- 2θ 32.84, intensity 801, hkl 0 2 2
- 2θ 35.59, intensity 311, hkl 1 -1 0
- 2θ 35.79, intensity 424, hkl 1 0 -1
- 2θ 36.35, intensity 396, hkl 1 1 2
- 2θ 38.44, intensity 672, hkl 0 0 3
- 2θ 57.00, intensity 291, hkl 1 4 2

[8]
The following is a computed powder diffractogram of MgNi2O4. It was derived from the PBE+U geometry in the Materials Project, using λ = 1.5418 Å (Cu Kα).

Atomic structure:
a b c (Å): 2.8690 7.4029 7.5429
angles (deg): 101.34 100.85 101.14
Space group P-1 (No. 2)
Asymmetric unit:
1 Mg 0.0204 0.2001 0.3421
2 Ni 0.1681 0.8227 0.0122
3 Ni 0.3135 0.4262 0.7008
4 O 0.0500 0.4095 0.1881
5 O 0.2881 0.2312 0.8436
6 O 0.3374 0.6992 0.4746
7 O 0.3689 0.0912 0.1462

Principal peaks in the range 5 to 70 degrees two-theta, sorted by position:
- 2θ 12.31, intensity 870, hkl 0 0 1
- 2θ 15.33, intensity 529, hkl 0 1 -1
- 2θ 19.66, intensity 756, hkl 0 1 1
- 2θ 24.94, intensity 413, hkl 0 1 -2
- 2θ 30.53, intensity 415, hkl 0 1 2
- 2θ 30.84, intensity 409, hkl 0 2 1
- 2θ 30.95, intensity 1000, hkl 0 2 -2
- 2θ 36.44, intensity 983, hkl 1 -2 0
- 2θ 43.94, intensity 414, hkl 1 -1 2
- 2θ 54.58, intensity 557, hkl 1 1 -4

[9]
The following is a computed powder diffractogram of MgNi2O4. It was derived from the PBE+U geometry in the Materials Project, using λ = 1.5418 Å (Cu Kα).

Atomic structure:
a b c (Å): 5.6836 5.6836 8.9266
angles (deg): 90.00 90.00 90.00
Space group I4_1/amd (No. 141, origin choice 2)
Asymmetric unit:
1 Mg 0.0000 0.2500 0.3750
2 Ni 0.0000 0.0000 0.0000
3 O 0.0000 0.0253 0.7607

Principal peaks in the range 5 to 70 degrees two-theta, sorted by position:
- 2θ 18.51, intensity 1000, hkl 1 0 1
- 2θ 34.01, intensity 478, hkl 1 0 3
- 2θ 36.76, intensity 739, hkl 2 1 1
- 2θ 37.52, intensity 244, hkl 2 0 2
- 2θ 40.42, intensity 301, hkl 0 0 4
- 2θ 45.12, intensity 417, hkl 2 2 0
- 2θ 53.82, intensity 170, hkl 1 0 5
- 2θ 59.55, intensity 247, hkl 3 2 1
- 2θ 62.16, intensity 475, hkl 2 2 4
- 2θ 65.72, intensity 195, hkl 4 0 0

[10]
The following is a computed powder diffractogram of MgNi2O4. It was derived from the PBE+U geometry in the Materials Project, using λ = 1.5418 Å (Cu Kα).

Atomic structure:
a b c (Å): 2.9055 9.5224 9.3448
angles (deg): 90.00 90.00 90.00
Space group Cmcm (No. 63)
Asymmetric unit:
1 Mg 0.0000 0.1076 0.2500
2 Ni 0.0000 0.3654 0.0698
3 O 0.0000 0.0000 0.0000
4 O 0.0000 0.2757 0.6139
5 O 0.0000 0.4578 0.2500

Principal peaks in the range 5 to 70 degrees two-theta, sorted by position:
- 2θ 18.99, intensity 495, hkl 0 0 2
- 2θ 32.21, intensity 344, hkl 1 1 0
- 2θ 34.41, intensity 1000, hkl 0 2 3
- 2θ 37.79, intensity 215, hkl 0 4 0
- 2θ 42.16, intensity 418, hkl 1 3 0
- 2θ 43.31, intensity 408, hkl 1 3 1
- 2θ 46.62, intensity 539, hkl 1 3 2
- 2θ 59.62, intensity 258, hkl 1 1 5
- 2θ 65.86, intensity 271, hkl 1 5 3
- 2θ 66.07, intensity 217, hkl 0 6 3